(1)
# LiVPO5
Calculated powder XRD pattern, λ = 1.5418 Å (Cu Kα). Input: a crystal structure in the Materials Project, relaxed with PBE+U.
Lines closer than 0.1° are merged.

Atomic structure:
```
16
Lattice="4.5901 0.0000 0.0000 0.0000 4.4138 4.5336 0.0000 -4.4138 4.5336" Properties=species:S:1:pos:R:3 pbc="T T T"
Li 0.0850 -2.2069 4.5336
Li 4.5050 2.2069 4.5336
V 1.9309 2.2069 2.3978
V 2.6591 -2.2069 2.3978
P 2.2950 0.0000 0.1212
P 2.2950 0.0000 4.6548
O 1.0363 -2.2069 2.4725
O 1.3639 0.8859 3.7825
O 1.3639 3.5279 3.7825
O 1.3794 0.8989 0.9931
O 1.3794 -0.8989 5.5268
O 3.2107 -0.8989 0.9931
O 3.2107 0.8989 5.5268
O 3.2262 -3.5279 3.7825
O 3.2262 -0.8859 3.7825
O 3.5537 2.2069 2.4725
```

Peak list (8 most intense, 2θ from 10° to 80°, by angle)
2θ = 19.34°, I = 100; 2θ = 23.95°, I = 25; 2θ = 28.22°, I = 96; 2θ = 34.44°, I = 68; 2θ = 41.87°, I = 21; 2θ = 47.45°, I = 16; 2θ = 58.36°, I = 19; 2θ = 59.54°, I = 11

(2)
# Li4Mn3Cu3W2O16
Calculated powder XRD pattern, λ = 1.5418 Å (Cu Kα). Input: a crystal structure in the Materials Project, relaxed with PBE+U.
Lines closer than 0.1° are merged.

Atomic structure:
```
28
Lattice="5.1832 -2.9520 0.0000 5.1832 2.9520 0.0000 -0.7930 0.0000 9.8753" Properties=species:S:1:pos:R:3 pbc="T T T"
Li 0.0000 0.0000 0.0000
Li -0.3820 0.0000 5.0052
Li 3.1552 0.0000 5.7153
Li 6.9250 0.0000 0.7153
Mn 4.1114 1.4630 2.6991
Mn 4.1114 -1.4630 2.6991
Mn 8.0056 0.0000 7.6037
Cu 1.5578 0.0000 2.7027
Cu 5.4574 1.4662 7.6711
Cu 5.4574 -1.4662 7.6711
W 2.6906 0.0000 9.8605
W 6.5877 0.0000 4.9599
O 2.7114 1.3458 1.3055
O 3.3986 1.4908 8.8466
O 0.9722 0.0000 8.9647
O 5.7135 1.4318 4.0170
O 3.2529 0.0000 3.6164
O 4.9962 0.0000 1.1926
O 2.7114 -1.3458 1.3055
O 5.0347 0.0000 6.2524
O 7.4242 1.2641 6.2689
O 3.3986 -1.4908 8.8466
O 6.3306 0.0000 8.5220
O 8.2113 0.0000 3.9334
O 5.7135 -1.4319 4.0170
O 7.4242 -1.2641 6.2689
O 9.7675 0.0000 6.8536
O 10.1917 0.0000 1.8733
```

Peak list (8 most intense, 2θ from 10° to 80°, by angle)
2θ = 18.74°, I = 46; 2θ = 19.19°, I = 100; 2θ = 19.83°, I = 100; 2θ = 20.02°, I = 46; 2θ = 31.72°, I = 41; 2θ = 34.09°, I = 44; 2θ = 35.43°, I = 43; 2θ = 36.34°, I = 65

(3)
# MgMn2P2O10
Calculated powder XRD pattern, λ = 1.5418 Å (Cu Kα). Input: a crystal structure in the Materials Project, relaxed with PBE+U.
Lines closer than 0.1° are merged.

Atomic structure:
```
30
Lattice="0.0000 8.2439 3.5794 5.5889 0.0000 3.5794 5.5889 8.2439 0.0000" Properties=species:S:1:pos:R:3 pbc="T T T"
Mg 0.0000 0.0000 0.0000
Mg 2.7945 4.1220 1.7897
Mn 7.0061 6.1731 2.6845
Mn 4.2116 6.1928 4.4742
Mn 6.9662 10.2951 4.4742
Mn 4.1717 10.3148 2.6845
P 2.7888 0.7005 1.7891
P 5.5832 3.4215 3.5788
P 2.8001 7.5435 1.7891
P 5.5946 13.0664 3.5788
O 5.7451 5.7542 1.2253
O 7.1329 8.0410 1.5344
O 6.8441 4.3094 3.8180
O 8.2531 6.5736 4.1686
O 8.2271 9.8761 3.0150
O 5.4327 10.7337 1.2253
O 4.3384 4.3249 3.3241
O 4.0450 8.4469 1.5344
O 5.6141 6.9194 3.5797
O 2.9507 6.6118 3.0150
O 5.5637 9.5685 3.5797
O 6.8394 12.1630 3.3241
O 7.1282 8.4313 5.6077
O 8.3582 11.0414 5.3694
O 5.4586 5.7923 5.9583
O 8.4086 13.6904 5.3694
O 4.3337 12.1785 3.8180
O 4.0496 8.0566 5.6077
O 2.9247 9.9143 4.1686
O 5.7192 10.6956 5.9583
```

Peak list (8 most intense, 2θ from 10° to 80°, by angle)
2θ = 15.65°, I = 27; 2θ = 27.52°, I = 42; 2θ = 29.64°, I = 25; 2θ = 30.91°, I = 86; 2θ = 31.60°, I = 100; 2θ = 36.94°, I = 18; 2θ = 44.62°, I = 23; 2θ = 53.39°, I = 24

(4)
# Mn4SiO7
Calculated powder XRD pattern, λ = 1.5418 Å (Cu Kα). Input: a crystal structure in the Materials Project, relaxed with PBE+U.
Lines closer than 0.1° are merged.

Atomic structure:
```
24
Lattice="8.1281 0.0000 0.0000 -4.0640 7.0391 0.0000 0.0000 0.0000 4.9402" Properties=species:S:1:pos:R:3 pbc="T T T"
Mn 0.0000 0.0000 0.0000
Mn 0.0000 0.0000 2.4701
Mn -1.9443 4.9578 0.0354
Mn 0.7426 2.8764 0.0354
Mn 2.8624 0.7951 2.5055
Mn 1.2017 6.2440 0.0354
Mn 3.3214 4.1627 2.5055
Mn 6.0083 2.0813 2.5055
Si 0.0000 4.6927 2.8299
Si 4.0640 2.3464 0.3598
O -0.4099 1.4463 1.2335
O -1.0042 3.5637 3.5163
O -2.6066 6.6709 1.2335
O 1.0476 1.0781 3.7035
O 0.0000 4.6927 1.1854
O -0.4756 6.1269 3.5163
O 1.4799 4.3875 3.5163
O 2.5841 2.6516 1.0462
O 4.5397 0.9122 1.0462
O 4.0640 2.3464 3.6554
O 3.0164 5.9610 1.2335
O 6.6706 0.3682 3.7035
O 5.0683 3.4754 1.0462
O 4.4739 5.5928 3.7035
```

Peak list (8 most intense, 2θ from 10° to 80°, by angle)
2θ = 21.87°, I = 30; 2θ = 21.98°, I = 21; 2θ = 28.44°, I = 89; 2θ = 31.20°, I = 67; 2θ = 33.69°, I = 58; 2θ = 38.42°, I = 67; 2θ = 50.41°, I = 100; 2θ = 60.26°, I = 61

(5)
# Mg2TaFeO6
Calculated powder XRD pattern, λ = 1.5418 Å (Cu Kα). Input: a crystal structure in the Materials Project, relaxed with PBE+U.
Lines closer than 0.1° are merged.

Atomic structure:
```
20
Lattice="5.1905 0.0000 0.0000 0.0000 7.6182 0.0000 -0.0627 0.0000 5.4202" Properties=species:S:1:pos:R:3 pbc="T T T"
Mg 0.0331 1.9045 0.2301
Mg 2.4924 1.9045 3.0866
Mg 2.6353 5.7136 2.3336
Mg 5.0946 5.7136 5.1900
Ta -0.0314 0.0000 2.7101
Ta -0.0314 3.8091 2.7101
Fe 2.5952 0.0000 0.0000
Fe 2.5952 3.8091 0.0000
O 0.6545 5.7136 3.0303
O 0.8583 0.5232 4.3955
O 0.8583 3.2859 4.3955
O 1.6079 0.5307 1.7372
O 1.6079 3.2784 1.7372
O 1.9122 5.7136 0.3694
O 3.2156 1.9045 5.0508
O 3.5199 4.3398 3.6829
O 3.5199 7.0875 3.6829
O 4.2694 4.3323 1.0247
O 4.2694 7.0950 1.0247
O 4.4732 1.9045 2.3898
```

Peak list (8 most intense, 2θ from 10° to 80°, by angle)
2θ = 16.35°, I = 59; 2θ = 17.08°, I = 55; 2θ = 23.35°, I = 72; 2θ = 23.60°, I = 72; 2θ = 23.87°, I = 71; 2θ = 33.05°, I = 50; 2θ = 33.44°, I = 100; 2θ = 33.64°, I = 98

Repeat the first record exactly.
# LiVPO5
Calculated powder XRD pattern, λ = 1.5418 Å (Cu Kα). Input: a crystal structure in the Materials Project, relaxed with PBE+U.
Lines closer than 0.1° are merged.

Atomic structure:
```
16
Lattice="4.5901 0.0000 0.0000 0.0000 4.4138 4.5336 0.0000 -4.4138 4.5336" Properties=species:S:1:pos:R:3 pbc="T T T"
Li 0.0850 -2.2069 4.5336
Li 4.5050 2.2069 4.5336
V 1.9309 2.2069 2.3978
V 2.6591 -2.2069 2.3978
P 2.2950 0.0000 0.1212
P 2.2950 0.0000 4.6548
O 1.0363 -2.2069 2.4725
O 1.3639 0.8859 3.7825
O 1.3639 3.5279 3.7825
O 1.3794 0.8989 0.9931
O 1.3794 -0.8989 5.5268
O 3.2107 -0.8989 0.9931
O 3.2107 0.8989 5.5268
O 3.2262 -3.5279 3.7825
O 3.2262 -0.8859 3.7825
O 3.5537 2.2069 2.4725
```

Peak list (8 most intense, 2θ from 10° to 80°, by angle)
2θ = 19.34°, I = 100; 2θ = 23.95°, I = 25; 2θ = 28.22°, I = 96; 2θ = 34.44°, I = 68; 2θ = 41.87°, I = 21; 2θ = 47.45°, I = 16; 2θ = 58.36°, I = 19; 2θ = 59.54°, I = 11